(1)
Computed powder X-ray diffraction pattern
Compound: Ac3In3GaPb2
Radiation: a wavelength of 1.5418 Å
Structure: a crystal structure in Alexandria, relaxed with PBE
Kinematic intensities with the Lorentz-polarization factor, no thermal factor.

```
Ac3In3GaPb2
1.0
8.259 0.000 0.000
-4.129 7.152 0.000
0.000 0.000 4.790
Ac In Ga Pb
3 3 1 2
Cartesian
-1.580 2.737 0.000
3.161 0.000 0.000
2.549 4.415 0.000
-3.142 5.441 2.395
0.988 1.711 2.395
6.283 0.000 2.395
0.000 0.000 0.000
0.000 4.768 2.395
4.129 2.384 2.395
```

The 10 most intense peaks (2θ = 10–90°), in order of rising 2θ:
28.5 deg, rel. 100; 31.2 deg, rel. 41; 33.1 deg, rel. 26; 37.6 deg, rel. 22; 37.7 deg, rel. 31; 38.2 deg, rel. 18; 50.9 deg, rel. 16; 54.3 deg, rel. 22; 59.6 deg, rel. 17; 62.6 deg, rel. 14



(2)
Computed powder X-ray diffraction pattern
Compound: Cs2RbSnTe4
Radiation: a wavelength of 1.5418 Å
Structure: a crystal structure in Alexandria, relaxed with PBE
Kinematic intensities with the Lorentz-polarization factor, no thermal factor.

```
Cs2RbSnTe4
1.0
0.000 8.447 13.066
3.818 0.000 13.066
3.818 8.447 0.000
Cs Rb Sn Te
4 2 2 8
Cartesian
2.864 6.336 1.641
4.773 10.559 8.174
2.864 6.336 17.958
4.773 10.559 24.491
0.955 2.112 3.266
6.682 14.783 22.865
2.864 6.336 9.799
4.773 10.559 16.332
4.234 4.567 8.034
4.234 8.104 11.565
6.143 8.791 18.098
6.143 12.328 14.567
1.493 4.567 11.565
1.493 8.104 8.034
3.402 8.791 14.567
3.402 12.328 18.098
```

The 10 most intense peaks (2θ = 10–90°), in order of rising 2θ:
13.2 deg, rel. 32; 19.9 deg, rel. 30; 22.1 deg, rel. 100; 25.6 deg, rel. 25; 26.0 deg, rel. 43; 26.5 deg, rel. 24; 29.1 deg, rel. 22; 31.2 deg, rel. 43; 38.1 deg, rel. 27; 39.8 deg, rel. 25